(1)
Structure and calculated XRD peak list of TmH4Rh3 (a crystal structure in Alexandria, relaxed with PBE; Cu Kα (λ = 1.5418 Å)).
Lines closer than 0.1° are merged.

Crystal structure
```
data_TmH4Rh3
_chemical_formula_sum 'Tm2 H8 Rh6'
_cell_length_a 5.3560
_cell_length_b 5.3560
_cell_length_c 5.3560
_cell_angle_alpha 90.00
_cell_angle_beta 90.00
_cell_angle_gamma 90.00
_symmetry_space_group_name_H-M 'P m -3 n'
_symmetry_Int_Tables_number 223
_symmetry_space_group_name_Hall '-P 4n 2 3'
loop_
_atom_site_label
_atom_site_fract_x
_atom_site_fract_y
_atom_site_fract_z
_atom_site_occupancy
Tm1 0.0000 0.0000 0.0000 1
H1 0.2500 0.2500 0.2500 1
Rh1 0.0000 0.2500 0.5000 1
```

The 11 most intense peaks (2θ = 10–80°), sorted by position:
2θ = 23.5°, rel. 11; 2θ = 33.5°, rel. 43; 2θ = 37.5°, rel. 78; 2θ = 41.3°, rel. 100; 2θ = 48.0°, rel. 2; 2θ = 54.2°, rel. 2; 2θ = 59.8°, rel. 3; 2θ = 62.5°, rel. 17; 2θ = 65.2°, rel. 52; 2θ = 70.3°, rel. 16; 2θ = 75.3°, rel. 1

---

(2)
Structure and calculated XRD peak list of PrGa4Pd2Ru (a crystal structure in Alexandria, relaxed with PBE; Cu Kα (λ = 1.5418 Å)).
Lines closer than 0.1° are merged.

Crystal structure
```
data_PrGa4Pd2Ru
_chemical_formula_sum 'Pr3 Ga12 Pd6 Ru3'
_cell_length_a 4.2803
_cell_length_b 4.2803
_cell_length_c 26.9198
_cell_angle_alpha 90.00
_cell_angle_beta 90.00
_cell_angle_gamma 120.00
_symmetry_space_group_name_H-M 'R -3 m'
_symmetry_Int_Tables_number 166
_symmetry_space_group_name_Hall '-R 3 2"'
loop_
_atom_site_label
_atom_site_fract_x
_atom_site_fract_y
_atom_site_fract_z
_atom_site_occupancy
Pr1 0.0000 0.0000 0.0000 1
Ga1 0.0000 0.0000 0.1341 1
Ga2 0.0000 0.0000 0.4023 1
Pd1 0.0000 0.0000 0.2348 1
Ru1 0.0000 0.0000 0.5000 1
```

The 12 most intense peaks (2θ = 10–80°), sorted by position:
2θ = 27.5°, rel. 20; 2θ = 29.3°, rel. 22; 2θ = 36.0°, rel. 87; 2θ = 42.2°, rel. 100; 2θ = 44.4°, rel. 27; 2θ = 50.5°, rel. 7; 2θ = 56.7°, rel. 23; 2θ = 59.7°, rel. 10; 2θ = 62.9°, rel. 9; 2θ = 73.2°, rel. 21; 2θ = 77.2°, rel. 16; 2θ = 78.7°, rel. 9

---

(3)
Structure and calculated XRD peak list of Tb2LuTl (a crystal structure in Alexandria, relaxed with PBE; Cu Kα (λ = 1.5418 Å)).
Lines closer than 0.1° are merged.

Crystal structure
```
data_Tb2LuTl
_chemical_formula_sum 'Tb2 Lu1 Tl1'
_cell_length_a 3.5698
_cell_length_b 3.5698
_cell_length_c 9.3003
_cell_angle_alpha 90.00
_cell_angle_beta 90.00
_cell_angle_gamma 90.00
_symmetry_space_group_name_H-M 'P 4/m m m'
_symmetry_Int_Tables_number 123
_symmetry_space_group_name_Hall '-P 4 2'
loop_
_atom_site_label
_atom_site_fract_x
_atom_site_fract_y
_atom_site_fract_z
_atom_site_occupancy
Tb1 0.0000 0.0000 0.2348 1
Lu1 0.5000 0.5000 0.5000 1
Tl1 0.5000 0.5000 0.0000 1
```

The 12 most intense peaks (2θ = 10–80°), sorted by position:
2θ = 31.6°, rel. 100; 2θ = 35.6°, rel. 37; 2θ = 38.5°, rel. 2; 2θ = 38.7°, rel. 14; 2θ = 51.2°, rel. 13; 2θ = 53.6°, rel. 22; 2θ = 61.4°, rel. 30; 2θ = 62.0°, rel. 1; 2θ = 65.7°, rel. 11; 2θ = 66.0°, rel. 12; 2θ = 75.3°, rel. 4; 2θ = 76.5°, rel. 1

---

(4)
Structure and calculated XRD peak list of HoCdInS4 (a crystal structure in Alexandria, relaxed with PBE; Cu Kα (λ = 1.5418 Å)).
Lines closer than 0.1° are merged.

Crystal structure
```
data_HoCdInS4
_chemical_formula_sum 'Ho4 Cd4 In4 S16'
_cell_length_a 7.8603
_cell_length_b 7.8813
_cell_length_c 11.1980
_cell_angle_alpha 90.00
_cell_angle_beta 90.00
_cell_angle_gamma 90.00
_symmetry_space_group_name_H-M 'I m m a'
_symmetry_Int_Tables_number 74
_symmetry_space_group_name_Hall '-I 2b 2'
loop_
_atom_site_label
_atom_site_fract_x
_atom_site_fract_y
_atom_site_fract_z
_atom_site_occupancy
Ho1 0.0000 0.0000 0.0000 1
Cd1 0.0000 0.2500 0.3764 1
In1 0.2500 0.2500 0.7500 1
S1 0.0000 0.0218 0.7550 1
S2 0.2364 0.2500 0.9899 1
```

The 12 most intense peaks (2θ = 10–80°), sorted by position:
2θ = 13.8°, rel. 25; 2θ = 22.6°, rel. 34; 2θ = 26.4°, rel. 51; 2θ = 26.5°, rel. 100; 2θ = 27.7°, rel. 20; 2θ = 32.0°, rel. 14; 2θ = 32.2°, rel. 28; 2θ = 41.9°, rel. 18; 2θ = 42.1°, rel. 27; 2θ = 42.2°, rel. 21; 2θ = 46.0°, rel. 77; 2θ = 46.2°, rel. 15